This entry pairs a crystal structure of CaNd4As5 with its simulated powder XRD pattern. Radiation: copper Kα. Structure: a structure optimized by DFT (PBE).
Peak positions follow from Bragg's law for the DFT cell and can differ from measured ones.

Atomic structure:
Lattice parameters (Å, degrees): 11.318 11.318 11.318 158.25 149.05 38.14
Element x y z (fractional)
Ca  0.000  0.000  0.000
Nd  0.199  0.199  0.000
Nd  0.401  0.401  0.000
Nd  0.599  0.599  0.000
Nd  0.801  0.801  0.000
As  0.102  0.602  0.500
As  0.301  0.801  0.500
As  0.500  0.000  0.500
As  0.699  0.199  0.500
As  0.898  0.398  0.500

Principal peaks in the range 2θ = 5–70°, in order of rising 2θ:
d/Å	I (rel.)
10.696	5.3
3.489	10.2
3.021	100.0
2.136	74.8
1.744	26.4
1.511	12.3
1.352	16.7
1.351	16.8